Diffraction record for CaP4Br12O4. The powder X-ray diffraction pattern is simulated, not measured: it uses the PBE geometry in the Materials Project and Cu Kα (weighted mean of Kα1 and Kα2).
Kinematic intensities with the Lorentz-polarization factor, no thermal factor.

Structural model:
Lattice parameters (Å, degrees): 6.8208 10.4914 11.8703 88.02 77.65 79.64
Fractional coordinates of all 21 atoms:
Ca 0.0000 0.0000 0.0000
P 0.1879 0.2290 0.7308
P 0.4402 0.6915 0.1318
P 0.7220 0.7125 0.6025
P 0.9969 0.1815 0.2648
Br 0.0117 0.4183 0.7896
Br 0.1372 0.3530 0.2432
Br 0.1665 0.0439 0.3667
Br 0.1960 0.7451 0.9786
Br 0.3576 0.1486 0.8687
Br 0.5219 0.8987 0.5795
Br 0.5366 0.5642 0.5879
Br 0.5577 0.4727 0.0724
Br 0.5860 0.0114 0.0454
Br 0.6903 0.2321 0.3702
Br 0.9520 0.0975 0.7493
Br 0.9624 0.6922 0.4452
O 0.2960 0.6905 0.2454
O 0.3142 0.2252 0.6128
O 0.7955 0.7071 0.7110
O 0.9975 0.1240 0.1513

Largest 10 diffraction maxima, sorted by position, 10° ≤ 2θ ≤ 80°:
d (Å), Rel. int.
5.049, 1000
4.886, 477
4.369, 365
4.212, 367
3.949, 351
3.838, 234
3.295, 399
3.021, 283
2.886, 272
2.464, 254


Diffraction record for PrCuSi. The powder X-ray diffraction pattern is simulated, not measured: it uses the PBE geometry in the Materials Project and Cu Kα (weighted mean of Kα1 and Kα2).
Kinematic intensities with the Lorentz-polarization factor, no thermal factor.

Structural model:
Lattice parameters (Å, degrees): 4.1540 4.1540 4.1653 90.00 90.00 120.00
Fractional coordinates of all 3 atoms:
Pr 0.0000 0.0000 0.0000
Cu 0.3333 0.6667 0.5000
Si 0.6667 0.3333 0.5000

Largest 10 diffraction maxima, sorted by position, 10° ≤ 2θ ≤ 80°:
d (Å), Rel. int.
3.597, 266
2.723, 1000
2.083, 116
2.077, 346
1.802, 79
1.651, 218
1.471, 222
1.361, 62
1.295, 95
1.293, 189


Diffraction record for LiSc2Ag2O4. The powder X-ray diffraction pattern is simulated, not measured: it uses the PBE geometry in the Materials Project and Cu Kα (weighted mean of Kα1 and Kα2).
Kinematic intensities with the Lorentz-polarization factor, no thermal factor.

Structural model:
Lattice parameters (Å, degrees): 3.1739 3.1739 14.3281 90.00 90.00 120.00
Fractional coordinates of all 9 atoms:
Li 0.0000 0.0000 0.0000
Sc 0.3333 0.6667 0.1660
Sc 0.3333 0.6667 0.6081
Ag 0.0000 0.0000 0.3855
Ag 0.6667 0.3333 0.8372
O 0.0000 0.0000 0.2347
O 0.0000 0.0000 0.5301
O 0.6667 0.3333 0.0822
O 0.6667 0.3333 0.6780

Largest 10 diffraction maxima, sorted by position, 10° ≤ 2θ ≤ 80°:
d (Å), Rel. int.
7.164, 327
3.582, 371
2.866, 154
2.699, 1000
2.566, 618
2.383, 415
1.984, 262
1.803, 234
1.642, 214
1.587, 274


Diffraction record for La10Ga3Co7. The powder X-ray diffraction pattern is simulated, not measured: it uses the PBE geometry in the Materials Project and Cu Kα (weighted mean of Kα1 and Kα2).
Kinematic intensities with the Lorentz-polarization factor, no thermal factor.

Structural model:
Lattice parameters (Å, degrees): 4.0345 10.0021 23.8927 90.00 90.00 90.00
Fractional coordinates of all 40 atoms:
La 0.0000 0.0012 0.0000
La 0.0000 0.1527 0.6391
La 0.0000 0.1941 0.3517
La 0.0000 0.3601 0.5043
La 0.0000 0.3919 0.1761
La 0.0000 0.6081 0.6761
La 0.0000 0.6399 0.0043
La 0.0000 0.8059 0.8517
La 0.0000 0.8473 0.1391
La 0.0000 0.9988 0.5000
La 0.5000 0.1115 0.2171
La 0.5000 0.1343 0.8790
La 0.5000 0.2986 0.0516
La 0.5000 0.3472 0.7507
La 0.5000 0.4874 0.3853
La 0.5000 0.5126 0.8853
La 0.5000 0.6528 0.2507
La 0.5000 0.7014 0.5516
La 0.5000 0.8657 0.3790
La 0.5000 0.8885 0.7171
Ga 0.0000 0.1030 0.7781
Ga 0.0000 0.3170 0.9480
Ga 0.0000 0.6830 0.4480
Ga 0.0000 0.8970 0.2781
Ga 0.5000 0.3969 0.6099
Ga 0.5000 0.6031 0.1099
Co 0.0000 0.1437 0.1185
Co 0.0000 0.3113 0.8381
Co 0.0000 0.4523 0.2974
Co 0.0000 0.5477 0.7974
Co 0.0000 0.6887 0.3381
Co 0.0000 0.8563 0.6185
Co 0.5000 0.0407 0.0943
Co 0.5000 0.1816 0.5522
Co 0.5000 0.1962 0.4455
Co 0.5000 0.3573 0.2726
Co 0.5000 0.6427 0.7726
Co 0.5000 0.8038 0.9455
Co 0.5000 0.8184 0.0522
Co 0.5000 0.9593 0.5943

Largest 10 diffraction maxima, sorted by position, 10° ≤ 2θ ≤ 80°:
d (Å), Rel. int.
2.921, 1000
2.911, 436
2.834, 952
2.779, 401
2.513, 371
2.345, 459
2.334, 232
2.158, 367
2.017, 508
1.529, 260


Diffraction record for Li2NbO3. The powder X-ray diffraction pattern is simulated, not measured: it uses the PBE geometry in the Materials Project and Cu Kα (weighted mean of Kα1 and Kα2).
Kinematic intensities with the Lorentz-polarization factor, no thermal factor.

Structural model:
Lattice parameters (Å, degrees): 3.0362 3.0362 8.1106 90.00 90.00 120.00
Fractional coordinates of all 6 atoms:
Li 0.3333 0.6667 0.1052
Li 0.6667 0.3333 0.8948
Nb 0.0000 0.0000 0.5000
O 0.0000 0.0000 0.0000
O 0.3333 0.6667 0.6463
O 0.6667 0.3333 0.3537

Largest 10 diffraction maxima, sorted by position, 10° ≤ 2θ ≤ 80°:
d (Å), Rel. int.
8.111, 1000
4.055, 289
2.629, 197
2.501, 234
2.206, 412
1.885, 150
1.606, 165
1.518, 91
1.492, 65
1.422, 74


Diffraction record for Na3Pu. The powder X-ray diffraction pattern is simulated, not measured: it uses the PBE geometry in the Materials Project and Cu Kα (weighted mean of Kα1 and Kα2).
Kinematic intensities with the Lorentz-polarization factor, no thermal factor.

Structural model:
Lattice parameters (Å, degrees): 7.8585 7.8585 5.5646 90.00 90.00 120.00
Fractional coordinates of all 8 atoms:
Na 0.1606 0.3212 0.2500
Na 0.1606 0.8394 0.2500
Na 0.3212 0.1606 0.7500
Na 0.6788 0.8394 0.2500
Na 0.8394 0.1606 0.7500
Na 0.8394 0.6788 0.7500
Pu 0.3333 0.6667 0.7500
Pu 0.6667 0.3333 0.2500

Largest 10 diffraction maxima, sorted by position, 10° ≤ 2θ ≤ 80°:
d (Å), Rel. int.
6.806, 423
4.308, 1000
3.929, 527
3.403, 203
2.903, 808
2.335, 398
2.270, 383
1.788, 294
1.628, 290
1.504, 226


Diffraction record for MgCo4S8. The powder X-ray diffraction pattern is simulated, not measured: it uses the PBE geometry in the Materials Project and Cu Kα (weighted mean of Kα1 and Kα2).
Kinematic intensities with the Lorentz-polarization factor, no thermal factor.

Structural model:
Lattice parameters (Å, degrees): 5.7910 5.8009 5.8172 88.21 88.13 88.22
Fractional coordinates of all 13 atoms:
Mg 0.0000 0.0000 0.0000
Co 0.2964 0.3188 0.8020
Co 0.3180 0.8027 0.2965
Co 0.7649 0.7654 0.7630
Co 0.8037 0.2968 0.3190
S 0.2003 0.8966 0.6595
S 0.2180 0.2183 0.2191
S 0.4016 0.6884 0.8994
S 0.4231 0.4226 0.4221
S 0.6594 0.2008 0.8954
S 0.6884 0.9007 0.4007
S 0.8983 0.6598 0.2022
S 0.9007 0.4019 0.6883

Largest 10 diffraction maxima, sorted by position, 10° ≤ 2θ ≤ 80°:
d (Å), Rel. int.
3.313, 425
2.902, 1000
2.893, 488
2.627, 268
2.430, 267
2.355, 264
2.331, 311
2.083, 325
2.020, 343
1.742, 388